Structure and calculated XRD peak list of Sr2YVCu2O7 (a crystal structure in the Materials Project, relaxed with PBE+U; Cu Kα, 1.54184 Å).
Neutral-atom scattering factors, no anomalous dispersion.

Principal peaks in the range 2θ from 10° to 90°, in order of falling intensity:
31.7 deg, I 100; 37.6 deg, I 74; 45.7 deg, I 45; 32.1 deg, I 41; 31.6 deg, I 37; 56.9 deg, I 19; 56.4 deg, I 18; 60.3 deg, I 16; 60.8 deg, I 15; 72.9 deg, I 12

Structure:
```
26
Lattice="-11.996 2.829 2.792 11.996 -2.829 2.792 11.996 2.829 -2.792" Properties=species:S:1:pos:R:3 pbc="T T T"
Sr 3.451 0.114 0.000
Sr 8.546 0.114 0.000
Sr 3.451 2.715 2.792
Sr 8.546 2.715 2.792
Y 0.000 2.829 2.768
Y 0.000 0.000 5.560
V 5.998 -0.433 3.030
V 5.998 3.262 0.238
Cu 1.587 -0.006 2.775
Cu 10.409 -0.006 2.775
Cu 1.587 2.834 -0.017
Cu 10.409 2.834 -0.017
O 17.994 0.690 -0.623
O 4.362 2.606 -0.144
O 7.634 2.606 -0.144
O -1.542 1.388 1.356
O 13.538 1.388 1.356
O 1.511 1.438 1.406
O 10.485 1.438 1.406
O 4.362 0.223 2.648
O 7.634 0.223 2.648
O -5.998 2.139 2.169
O -1.511 4.219 1.406
O 1.542 4.269 1.356
O -1.542 1.440 4.148
O 1.511 1.391 4.198
```

=====

Structure and calculated XRD peak list of Sr2CuWO6 (a crystal structure in the Materials Project, relaxed with PBE+U; Cu Kα, 1.54184 Å).
Neutral-atom scattering factors, no anomalous dispersion.

Principal peaks in the range 2θ from 10° to 90°, in order of falling intensity:
30.9 deg, I 100; 32.8 deg, I 48; 57.4 deg, I 39; 19.2 deg, I 30; 47.1 deg, I 25; 53.8 deg, I 23; 41.4 deg, I 20; 64.5 deg, I 18; 87.8 deg, I 13; 38.3 deg, I 11

Structure:
```
10
Lattice="-2.728 2.728 4.363 2.728 -2.728 4.363 2.728 2.728 -4.363" Properties=species:S:1:pos:R:3 pbc="T T T"
Sr 2.728 0.000 2.181
Sr 0.000 2.728 2.181
Cu 0.000 0.000 0.000
W 0.000 0.000 4.363
O 1.673 1.088 0.000
O 0.000 0.000 2.401
O 1.640 -1.055 4.363
O 1.088 3.783 0.000
O 0.000 0.000 6.324
O 1.055 1.640 4.363
```

=====

Structure and calculated XRD peak list of Sr2Cu2WO7 (a crystal structure in the Materials Project, relaxed with PBE+U; Cu Kα, 1.54184 Å).
Neutral-atom scattering factors, no anomalous dispersion.

Principal peaks in the range 2θ from 10° to 90°, in order of falling intensity:
27.3 deg, I 100; 27.5 deg, I 68; 20.4 deg, I 66; 33.5 deg, I 51; 31.4 deg, I 47; 48.2 deg, I 39; 34.3 deg, I 37; 48.7 deg, I 37; 31.5 deg, I 33; 17.2 deg, I 33

Structure:
```
24
Lattice="3.739 -13.067 0.000 3.739 13.067 0.000 -3.676 0.000 3.773" Properties=species:S:1:pos:R:3 pbc="T T T"
Sr 3.739 10.060 0.000
Sr 3.696 3.021 0.072
Sr 3.696 -3.021 0.072
Sr 3.739 -10.060 0.000
Cu 1.901 8.116 1.924
Cu 1.860 4.950 1.916
Cu 1.860 -4.950 1.916
Cu 1.901 -8.116 1.924
W -1.169 0.000 1.777
W 1.537 0.000 2.308
O 1.907 11.343 1.916
O -0.002 4.524 1.909
O 1.859 4.577 0.042
O 1.867 1.757 1.800
O -0.002 -4.524 1.909
O 1.859 -4.577 0.042
O -0.089 0.000 3.480
O 1.867 -1.757 1.800
O 3.740 4.570 1.911
O 5.602 4.530 0.044
O 3.086 0.000 3.677
O 3.740 -4.570 1.911
O 5.602 -4.530 0.044
O 1.907 -11.343 1.916
```

=====

Structure and calculated XRD peak list of Sr2CuWO6 (a crystal structure in the Materials Project, relaxed with PBE+U; Cu Kα, 1.54184 Å).
Neutral-atom scattering factors, no anomalous dispersion.

Principal peaks in the range 2θ from 10° to 90°, in order of falling intensity:
31.5 deg, I 100; 56.2 deg, I 40; 45.2 deg, I 32; 19.2 deg, I 19; 65.8 deg, I 19; 74.8 deg, I 17; 37.2 deg, I 10; 22.2 deg, I 9; 83.5 deg, I 6; 49.5 deg, I 4

Structure:
```
10
Lattice="0.000 4.012 4.012 4.012 0.000 4.012 4.012 4.012 0.000" Properties=species:S:1:pos:R:3 pbc="T T T"
Sr 2.006 2.006 2.006
Sr 6.018 6.018 6.018
Cu 0.000 0.000 0.000
W 4.012 4.012 4.012
O 4.012 4.012 2.066
O 4.012 2.066 4.012
O 5.958 4.012 4.012
O 2.066 4.012 4.012
O 4.012 5.958 4.012
O 4.012 4.012 5.958
```

=====

Structure and calculated XRD peak list of Sr4ZnCuW2O12 (a crystal structure in the Materials Project, relaxed with PBE+U; Cu Kα, 1.54184 Å).
Neutral-atom scattering factors, no anomalous dispersion.

Principal peaks in the range 2θ from 10° to 90°, in order of falling intensity:
31.2 deg, I 100; 31.7 deg, I 51; 56.2 deg, I 41; 45.5 deg, I 29; 19.1 deg, I 29; 55.3 deg, I 21; 65.2 deg, I 19; 44.0 deg, I 17; 37.3 deg, I 11; 75.4 deg, I 10

Structure:
```
20
Lattice="5.637 0.000 0.000 0.000 5.637 0.000 0.000 0.000 8.227" Properties=species:S:1:pos:R:3 pbc="T T T"
Sr 0.000 2.818 2.057
Sr 0.000 2.818 6.170
Sr 2.818 0.000 2.057
Sr 2.818 0.000 6.170
Zn 0.000 0.000 0.000
Cu 2.818 2.818 4.113
W 0.000 0.000 4.113
W 2.818 2.818 0.000
O 0.000 0.000 2.158
O 0.000 0.000 6.068
O 1.144 4.048 4.113
O 1.227 1.687 0.000
O 1.589 1.144 4.113
O 1.687 4.410 0.000
O 2.818 2.818 1.953
O 2.818 2.818 6.274
O 3.950 1.227 0.000
O 4.048 4.493 4.113
O 4.410 3.950 0.000
O 4.493 1.589 4.113
```

=====

Structure and calculated XRD peak list of TiV4CuO12 (a crystal structure in the Materials Project, relaxed with PBE+U; Cu Kα, 1.54184 Å).
Neutral-atom scattering factors, no anomalous dispersion.

Principal peaks in the range 2θ from 10° to 90°, in order of falling intensity:
28.1 deg, I 100; 30.1 deg, I 59; 18.5 deg, I 42; 32.9 deg, I 42; 19.4 deg, I 41; 23.6 deg, I 30; 35.2 deg, I 27; 13.5 deg, I 21; 44.7 deg, I 20; 51.2 deg, I 19

Structure:
```
18
Lattice="5.028 -4.567 0.000 5.028 4.567 0.000 -2.028 0.000 5.453" Properties=species:S:1:pos:R:3 pbc="T T T"
Ti 0.000 0.000 0.000
V 1.937 0.017 2.762
V 2.962 -1.677 0.091
V 6.091 0.017 2.691
V 5.066 -1.677 5.361
Cu 4.014 2.865 2.726
O -0.598 1.229 5.274
O 3.704 3.025 0.491
O 0.362 -0.094 1.980
O 2.443 1.604 2.944
O 4.325 3.025 4.961
O 1.928 -0.785 4.375
O 3.079 -0.854 1.664
O 5.585 1.604 2.508
O 4.949 -0.854 3.789
O 8.626 1.229 0.179
O 6.100 -0.785 1.078
O 7.667 -0.094 3.472
```

=====

Structure and calculated XRD peak list of V6CuO15 (a crystal structure in the Materials Project, relaxed with PBE+U; Cu Kα, 1.54184 Å).
Neutral-atom scattering factors, no anomalous dispersion.

Principal peaks in the range 2θ from 10° to 90°, in order of falling intensity:
25.9 deg, I 100; 28.3 deg, I 65; 30.7 deg, I 54; 12.0 deg, I 43; 32.5 deg, I 34; 49.4 deg, I 32; 59.6 deg, I 21; 39.1 deg, I 17; 18.1 deg, I 16; 45.5 deg, I 16

Structure:
```
44
Lattice="7.373 0.000 0.000 -1.840 7.710 0.000 -0.001 -3.031 9.815" Properties=species:S:1:pos:R:3 pbc="T T T"
V 0.000 0.000 0.000
V 0.000 -1.384 6.714
V 0.007 0.420 9.528
V 0.020 6.228 2.069
V 1.832 0.356 4.892
V 1.850 1.991 1.790
V 1.855 4.660 9.755
V 3.671 -1.330 6.725
V 3.705 0.443 9.556
V 3.694 6.262 2.054
V 5.531 0.291 4.879
V 5.527 2.020 1.846
Cu 1.466 4.094 4.506
Cu 5.161 2.578 7.099
O -0.002 -1.467 8.510
O -0.009 -0.212 5.078
O -0.055 1.767 1.309
O -0.050 1.117 8.064
O 0.004 4.855 0.905
O 0.126 5.516 3.563
O 1.902 0.210 0.483
O 1.846 -0.815 6.530
O 1.850 0.428 3.102
O 1.851 3.064 0.058
O 1.819 1.907 5.382
O 1.791 3.205 2.936
O 1.838 3.475 8.663
O 1.792 4.822 6.157
O 1.850 6.641 1.684
O 3.690 -1.499 8.538
O 3.689 -0.196 5.091
O 3.745 1.875 1.357
O 3.812 1.127 8.042
O 3.690 4.854 0.885
O 3.638 5.599 3.544
O 5.473 0.144 0.429
O 5.520 -0.845 6.513
O 5.525 0.470 3.062
O 5.541 3.069 0.103
O 5.489 1.850 5.449
O 5.565 3.202 2.941
O 5.508 3.469 8.666
O 5.521 4.775 6.224
O 5.536 6.641 1.732
```

=====

Structure and calculated XRD peak list of V2Cu3O8 (a crystal structure in the Materials Project, relaxed with PBE+U; Cu Kα, 1.54184 Å).
Neutral-atom scattering factors, no anomalous dispersion.

Principal peaks in the range 2θ from 10° to 90°, in order of falling intensity:
30.5 deg, I 100; 26.2 deg, I 59; 36.8 deg, I 46; 35.9 deg, I 42; 36.4 deg, I 40; 59.3 deg, I 38; 18.5 deg, I 30; 30.8 deg, I 29; 30.0 deg, I 28; 66.0 deg, I 27

Structure:
```
26
Lattice="6.292 0.000 0.000 0.000 8.039 0.000 -2.158 0.000 6.299" Properties=species:S:1:pos:R:3 pbc="T T T"
V 0.805 0.933 2.219
V -0.274 3.087 5.368
V 4.407 4.953 0.930
V 3.328 7.107 4.079
Cu 1.250 5.961 0.677
Cu 0.171 6.098 3.826
Cu 3.146 0.000 0.000
Cu 2.067 4.020 3.149
Cu 3.962 1.941 2.473
Cu 2.883 2.078 5.622
O -0.482 5.815 1.473
O -1.561 6.244 4.622
O 1.454 4.072 0.397
O 0.374 7.987 3.546
O 0.325 4.128 4.044
O 1.404 7.932 0.895
O 0.950 1.894 5.980
O 2.030 2.125 2.831
O 2.104 5.914 3.468
O 3.183 6.145 0.318
O 2.729 0.108 5.404
O 3.808 3.912 2.255
O 3.759 0.053 2.753
O 2.680 3.967 5.902
O 5.694 1.795 1.676
O 4.615 2.224 4.825
```

=====

Structure and calculated XRD peak list of V2Cu2O7 (a crystal structure in the Materials Project, relaxed with PBE+U; Cu Kα, 1.54184 Å).
Neutral-atom scattering factors, no anomalous dispersion.

Principal peaks in the range 2θ from 10° to 90°, in order of falling intensity:
28.6 deg, I 100; 29.1 deg, I 46; 23.7 deg, I 28; 34.4 deg, I 25; 42.4 deg, I 20; 36.9 deg, I 18; 37.4 deg, I 17; 14.4 deg, I 17; 16.6 deg, I 17; 36.2 deg, I 17

Structure:
```
22
Lattice="4.230 -5.136 0.000 4.230 5.136 0.000 -2.862 0.000 6.137" Properties=species:S:1:pos:R:3 pbc="T T T"
V 1.316 0.522 0.723
V -0.115 -0.522 3.792
V 5.712 0.522 2.345
V 4.281 -0.522 5.414
Cu 1.039 1.576 5.998
Cu 3.127 1.576 3.207
Cu 2.470 -1.576 2.930
Cu 4.558 -1.576 0.139
O 1.478 3.838 5.858
O 2.688 3.838 3.347
O 2.246 1.798 1.428
O -0.475 0.468 5.321
O 0.956 -0.468 2.252
O 2.083 0.905 4.603
O 4.782 1.798 1.640
O 0.815 -1.798 4.497
O 3.514 -0.905 1.534
O 4.641 0.468 3.885
O 6.073 -0.468 0.817
O 3.351 -1.798 4.709
O 2.910 -3.838 2.790
O 4.119 -3.838 0.279
```

=====

Structure and calculated XRD peak list of V2Cu2O7 (a crystal structure in the Materials Project, relaxed with PBE+U; Cu Kα, 1.54184 Å).
Neutral-atom scattering factors, no anomalous dispersion.

Principal peaks in the range 2θ from 10° to 90°, in order of falling intensity:
23.7 deg, I 100; 28.8 deg, I 57; 28.5 deg, I 47; 37.6 deg, I 21; 16.1 deg, I 20; 56.5 deg, I 18; 33.3 deg, I 18; 41.6 deg, I 17; 35.6 deg, I 16; 20.4 deg, I 14

Structure:
```
22
Lattice="3.988 -4.039 0.000 3.988 4.039 0.000 -3.447 0.000 9.662" Properties=species:S:1:pos:R:3 pbc="T T T"
V -0.232 2.243 6.893
V 3.037 2.243 7.599
V 1.492 -2.243 2.063
V 4.760 -2.243 2.768
Cu 2.384 0.580 0.122
Cu 0.660 -0.580 4.952
Cu 3.868 0.580 4.709
Cu 2.145 -0.580 9.540
O 1.646 2.029 1.223
O 1.402 2.923 7.246
O -0.033 0.742 6.139
O 1.576 0.710 3.840
O 1.691 -0.742 1.309
O -0.148 -0.710 8.671
O 4.606 2.029 3.608
O -0.078 -2.029 6.054
O 4.676 0.710 0.990
O 2.838 0.742 8.353
O 2.952 -0.710 5.821
O 4.561 -0.742 3.522
O 3.126 -2.923 2.415
O 2.882 -2.029 8.438
```